Record 1
The following is a computed XRD peak list of HoReCl. It was derived from a structure optimized by DFT (GGA-PBE), using Cu Kα X-rays.
Lines closer than 0.1° are merged.

Atomic structure:
Cell lengths 3.6123, 3.6315, 10.6402 Å; angles 90.00, 90.00, 90.00 degrees
Sites, in units of the cell vectors:
Ho1 0.2500 0.2500 0.2270
Ho2 0.7500 0.7500 0.7730
Re1 0.2500 0.7500 0.0001
Re2 0.7500 0.2500 0.9999
Cl1 0.2500 0.2500 0.6477
Cl2 0.7500 0.7500 0.3523

Largest 10 diffraction maxima, in order of rising 2θ, 2θ = 10–80°:
two_theta, I_rel
25.11, 15
25.92, 20
26.05, 20
33.69, 26
35.42, 27
36.07, 33
39.03, 100
43.59, 29
50.25, 14
72.28, 17

=====

Record 2
The following is a computed XRD peak list of HoRhCl6. It was derived from a structure optimized by DFT (GGA-PBE), using Cu Kα X-rays.
Lines closer than 0.1° are merged.

Atomic structure:
Cell lengths 6.7670, 6.7670, 6.7670 Å; angles 55.43, 55.43, 55.43 degrees
Sites, in units of the cell vectors:
Ho1 0.0000 0.0000 0.0000
Rh1 0.5000 0.5000 0.5000
Cl1 0.1095 0.7278 0.4246
Cl2 0.2722 0.5754 0.8905
Cl3 0.4246 0.1095 0.7278
Cl4 0.5754 0.8905 0.2722
Cl5 0.7278 0.4246 0.1095
Cl6 0.8905 0.2722 0.5754

Largest 10 diffraction maxima, in order of rising 2θ, 2θ = 10–80°:
two_theta, I_rel
19.30, 100
26.47, 41
28.36, 13
32.49, 27
34.54, 20
39.18, 16
42.77, 45
45.27, 20
49.07, 17
50.21, 21

=====

Record 3
The following is a computed XRD peak list of HoS6Cl2. It was derived from a structure optimized by DFT (GGA-PBE), using Cu Kα X-rays.
Lines closer than 0.1° are merged.

Atomic structure:
Cell lengths 4.0474, 8.0819, 9.1414 Å; angles 113.76, 93.24, 90.68 degrees
Sites, in units of the cell vectors:
Ho1 0.0000 0.0000 0.0000
S1 0.1029 0.7214 0.4537
S2 0.1117 0.4949 0.7185
S3 0.1150 0.2818 0.2960
S4 0.8850 0.7182 0.7040
S5 0.8883 0.5051 0.2815
S6 0.8971 0.2786 0.5463
Cl1 0.4964 0.1474 0.9035
Cl2 0.5036 0.8526 0.0965

Largest 10 diffraction maxima, in order of rising 2θ, 2θ = 10–80°:
two_theta, I_rel
10.60, 33
11.97, 21
12.38, 100
18.98, 32
19.75, 21
22.01, 40
28.49, 21
28.99, 23
31.19, 23
38.01, 24